This entry pairs a crystal structure of IrSe2Br with its computed powder X-ray diffraction pattern. Radiation: copper Kα. Structure: a PBE-relaxed structure.
Neutral-atom scattering factors, no anomalous dispersion.

Atomic structure:
a = 6.2022 Å, b = 11.8404 Å, c = 5.0778 Å
α = 90.00°, β = 90.16°, γ = 90.00°
Space group C2 (No. 5)
One atom of each set of equivalent atoms:
Ir 0.0000 0.0000 0.0000
Ir 0.0000 0.3097 0.0000
Se 0.1239 0.4945 0.8076
Se 0.1290 0.1522 0.7143
Br 0.1613 0.8303 0.7338

Most intense lines, 2θ from 5° to 70°, by angle:
2θ = 16.13°, I 51
2θ = 17.47°, I 62
2θ = 23.86°, I 26
2θ = 32.12°, I 100
2θ = 33.91°, I 60
2θ = 35.09°, I 19
2θ = 44.90°, I 62
2θ = 45.99°, I 35
2θ = 49.79°, I 33
2θ = 58.35°, I 22

---

This entry pairs a crystal structure of Er3Bi4 with its computed powder X-ray diffraction pattern. Radiation: copper Kα. Structure: a PBE-relaxed structure.
Neutral-atom scattering factors, no anomalous dispersion.

Atomic structure:
a = 4.4913 Å, b = 4.4913 Å, c = 38.4177 Å
α = 90.00°, β = 90.00°, γ = 120.00°
Space group R-3m (No. 166, hexagonal axes)
One atom of each set of equivalent atoms:
Er 0.0000 0.0000 0.0000
Er 0.0000 0.0000 0.2413
Bi 0.0000 0.0000 0.1408
Bi 0.0000 0.0000 0.3800

Most intense lines, 2θ from 5° to 70°, by angle:
2θ = 24.69°, I 10
2θ = 25.67°, I 24
2θ = 29.55°, I 100
2θ = 38.25°, I 36
2θ = 40.16°, I 59
2θ = 44.34°, I 14
2θ = 50.64°, I 23
2θ = 56.66°, I 12
2θ = 65.85°, I 27
2θ = 66.52°, I 21

---

This entry pairs a crystal structure of Tb7Pm2Mg with its computed powder X-ray diffraction pattern. Radiation: copper Kα. Structure: a PBE-relaxed structure.
Neutral-atom scattering factors, no anomalous dispersion.

Atomic structure:
a = 8.6429 Å, b = 16.6276 Å, c = 5.3252 Å
α = 90.00°, β = 90.00°, γ = 90.00°
Space group Cmmm (No. 65)
One atom of each set of equivalent atoms:
Tb 0.0000 0.0000 0.0000
Tb 0.0000 0.2960 0.5000
Tb 0.1780 0.3941 0.0000
Pm 0.0000 0.2059 0.0000
Mg 0.0000 0.5000 0.5000

Most intense lines, 2θ from 5° to 70°, by angle:
2θ = 16.65°, I 68
2θ = 23.20°, I 20
2θ = 29.82°, I 37
2θ = 31.52°, I 19
2θ = 33.42°, I 100
2θ = 33.66°, I 45
2θ = 34.35°, I 19
2θ = 35.85°, I 52
2θ = 45.58°, I 23
2θ = 63.08°, I 23

---

This entry pairs a crystal structure of Rb2PH3SeO8 with its computed powder X-ray diffraction pattern. Radiation: copper Kα. Structure: a PBE-relaxed structure.
Neutral-atom scattering factors, no anomalous dispersion.

Atomic structure:
a = 7.7259 Å, b = 7.8042 Å, c = 7.8721 Å
α = 90.63°, β = 99.37°, γ = 90.30°
Space group P-1 (No. 2)
One atom of each set of equivalent atoms:
Rb 0.0927 0.3116 0.2052
Rb 0.3844 0.8054 0.2901
P 0.0917 0.1929 0.7414
H 0.0000 0.0000 0.5000
H 0.2234 0.4033 0.6194
H 0.2578 0.9896 0.8850
H 0.5000 0.5000 0.0000
Se 0.4024 0.6958 0.7578
O 0.0126 0.9595 0.3538
O 0.0159 0.6757 0.1825
O 0.2036 0.2735 0.6083
O 0.2305 0.1164 0.8942
O 0.2568 0.6006 0.6045
O 0.2981 0.7900 0.9040
O 0.4649 0.4610 0.1398
O 0.4709 0.1709 0.3288

Most intense lines, 2θ from 5° to 70°, by angle:
2θ = 22.79°, I 71
2θ = 22.90°, I 100
2θ = 25.44°, I 48
2θ = 25.67°, I 34
2θ = 25.94°, I 64
2θ = 26.09°, I 77
2θ = 26.87°, I 44
2θ = 32.22°, I 56
2θ = 32.73°, I 25
2θ = 42.59°, I 24